1.
Diffraction record for Hg4AuCl2O. The X-ray powder pattern is theoretical, not measured: it uses a cell relaxed with PBE and Cu Kα.
Peak positions follow from Bragg's law for the DFT cell and can differ from measured ones.

Structure:
Unit cell a=8.3029 b=8.3029 c=7.5255 alpha=115.30 beta=115.30 gamma=100.21
Element x y z (fractional)
Hg 0.1879 0.3001 0.4875
Hg 0.2222 0.7735 0.5267
Hg 0.2265 0.7778 0.9733
Hg 0.3001 0.1879 0.9875
Hg 0.6999 0.8121 0.0125
Hg 0.7735 0.2222 0.0267
Hg 0.7778 0.2265 0.4733
Hg 0.8121 0.6999 0.5125
Au 0.0000 0.0000 0.0000
Au 0.0000 0.0000 0.5000
Cl 0.0000 0.5000 0.0000
Cl 0.5000 0.0000 0.5000
Cl 0.5000 0.5000 0.0000
Cl 0.5000 0.5000 0.5000
O 0.0000 0.5000 0.5000
O 0.5000 0.0000 0.0000

Largest 12 diffraction maxima, by angle, 10° ≤ 2θ ≤ 90°:
two_theta  I (rel.)
13.14  77
13.68  45
24.07  33
26.45  44
27.56  35
28.01  56
31.89  100
33.71  86
37.03  45
42.96  33
44.38  38
45.69  40

=====

2.
Diffraction record for Au2I2Cl. The X-ray powder pattern is theoretical, not measured: it uses a cell relaxed with PBE and Cu Kα.
Peak positions follow from Bragg's law for the DFT cell and can differ from measured ones.

Structure:
Unit cell a=8.7281 b=8.7281 c=8.7281 alpha=130.04 beta=130.04 gamma=73.35
Element x y z (fractional)
Au 0.3073 0.0000 0.3073
Au 0.6927 0.0000 0.6927
Au 0.7500 0.5573 0.8073
Au 0.7500 0.9427 0.1927
I 0.4163 0.1832 0.2331
I 0.9332 0.2002 0.2669
I 0.9332 0.6663 0.7331
I 0.9502 0.1832 0.7669
Cl 0.3583 0.8583 0.5000
Cl 0.6083 0.6083 0.0000

Largest 12 diffraction maxima, by angle, 10° ≤ 2θ ≤ 90°:
two_theta  I (rel.)
13.57  100
21.25  17
25.45  18
27.34  24
27.80  60
34.26  24
34.41  26
37.15  23
42.36  15
43.28  17
46.03  29
55.67  13

=====

3.
Diffraction record for Au2I4Cl. The X-ray powder pattern is theoretical, not measured: it uses a cell relaxed with PBE and Cu Kα.
Peak positions follow from Bragg's law for the DFT cell and can differ from measured ones.

Structure:
Unit cell a=8.1258 b=8.1258 c=9.4555 alpha=107.64 beta=107.64 gamma=91.27
Element x y z (fractional)
Au 0.0094 0.5914 0.4627
Au 0.0433 0.9567 0.5000
Au 0.5914 0.0094 0.9627
Au 0.9567 0.0433 0.0000
I 0.0396 0.3659 0.0090
I 0.2659 0.4830 0.3461
I 0.2817 0.9118 0.0092
I 0.3659 0.0396 0.5090
I 0.4830 0.2659 0.8461
I 0.7842 0.7989 0.5417
I 0.7989 0.7842 0.0417
I 0.9118 0.2817 0.5092
Cl 0.4702 0.5751 0.6247
Cl 0.5751 0.4702 0.1247

Largest 12 diffraction maxima, by angle, 10° ≤ 2θ ≤ 90°:
two_theta  I (rel.)
11.52  56
12.76  54
17.88  28
20.28  28
20.85  100
23.16  22
25.20  23
27.03  39
33.10  21
34.83  27
39.31  22
42.47  34

=====

4.
Diffraction record for AuICl3. The X-ray powder pattern is theoretical, not measured: it uses a cell relaxed with PBE and Cu Kα.
Peak positions follow from Bragg's law for the DFT cell and can differ from measured ones.

Structure:
Unit cell a=10.8483 b=5.3680 c=12.8273 alpha=90.00 beta=118.67 gamma=90.00
Element x y z (fractional)
Au 0.2444 0.0067 0.1261
Au 0.2444 0.4933 0.6261
Au 0.7556 0.5067 0.3739
Au 0.7556 0.9933 0.8739
I 0.2291 0.7463 0.4433
I 0.2291 0.7537 0.9433
I 0.7709 0.2463 0.0567
I 0.7709 0.2537 0.5567
Cl 0.0913 0.7256 0.1393
Cl 0.0913 0.7744 0.6393
Cl 0.2806 0.1932 0.3064
Cl 0.2806 0.3068 0.8064
Cl 0.3892 0.1966 0.6074
Cl 0.3892 0.3034 0.1074
Cl 0.6108 0.6966 0.8926
Cl 0.6108 0.8034 0.3926
Cl 0.7194 0.6932 0.1936
Cl 0.7194 0.8068 0.6936
Cl 0.9087 0.2256 0.3607
Cl 0.9087 0.2744 0.8607

Largest 12 diffraction maxima, by angle, 10° ≤ 2θ ≤ 90°:
two_theta  I (rel.)
13.92  33
18.31  28
18.64  100
18.76  42
22.24  21
23.34  18
30.32  19
32.73  20
36.33  22
40.27  19
41.99  20
52.01  20

=====

Which formula does entry 1 have? Hg4AuCl2O

=====

Number 2 is which compound? Au2I2Cl